No. 1
For Li3TiB2O6, a cell relaxed with GGA-PBE gives the computed X-ray powder pattern in this record (λ = 1.5418 Å (Cu Kα)).
Neutral-atom scattering factors, no anomalous dispersion.

Top 10 peaks for 5 to 70 degrees two-theta, in order of falling intensity:
- 32.1 deg, rel. 100, hkl 0 2 -2
- 35.3 deg, rel. 53, hkl 2 0 0
- 23.8 deg, rel. 43, hkl 0 1 -2
- 14.3 deg, rel. 43, hkl 0 1 0
- 23.6 deg, rel. 35, hkl 1 -1 1
- 21.0 deg, rel. 27, hkl 1 0 1
- 35.1 deg, rel. 27, hkl -1 1 2
- 29.7 deg, rel. 21, hkl 1 1 -2
- 17.4 deg, rel. 19, hkl 1 0 0
- 20.6 deg, rel. 19, hkl 0 1 1

Crystal structure
```
data_Li3TiB2O6
_space_group_name_H-M_alt 'P -1'
_space_group_IT_number 2
_space_group_name_Hall '-P 1'
_cell_length_a 5.0843
_cell_length_b 6.4121
_cell_length_c 7.9723
_cell_angle_alpha 105.06
_cell_angle_beta 90.03
_cell_angle_gamma 90.68
loop_
_atom_site_label
_atom_site_type_symbol
_atom_site_fract_x
_atom_site_fract_y
_atom_site_fract_z
Li1 Li 0.1674 0.2441 0.3902
Li2 Li 0.1732 0.5277 0.7420
Li3 Li 0.3257 0.4009 0.0745
Ti1 Ti 0.3462 0.0481 0.7328
B1 B 0.1665 0.8219 0.0897
B2 B 0.3376 0.6629 0.4248
O1 O 0.1098 0.1881 0.9090
O2 O 0.2058 0.5054 0.3101
O3 O 0.2256 0.7691 0.5866
O4 O 0.2848 0.9855 0.2204
O5 O 0.3080 0.6745 0.9717
O6 O 0.3993 0.2758 0.6029
```



No. 2
For MgTe4MoW3Se2S2, a cell relaxed with GGA-PBE gives the computed X-ray powder pattern in this record (λ = 1.5418 Å (Cu Kα)).
Neutral-atom scattering factors, no anomalous dispersion.

Top 10 peaks for 5 to 70 degrees two-theta, in order of falling intensity:
- 11.4 deg, rel. 100, hkl 0 0 5
- 35.8 deg, rel. 83, hkl 0 1 8
- 6.9 deg, rel. 53, hkl 0 0 3
- 43.3 deg, rel. 44, hkl 0 1 13
- 30.4 deg, rel. 36, hkl 0 1 0
- 54.1 deg, rel. 26, hkl 2 1 0
- 38.5 deg, rel. 21, hkl 0 1 -10
- 32.6 deg, rel. 15, hkl 0 1 -5
- 13.8 deg, rel. 14, hkl 0 0 6
- 66.5 deg, rel. 14, hkl 2 2 8

Crystal structure
```
data_MgTe4MoW3Se2S2
_space_group_name_H-M_alt 'P 1'
_space_group_IT_number 1
_space_group_name_Hall 'P 1'
_cell_length_a 3.3917
_cell_length_b 3.3917
_cell_length_c 38.6412
_cell_angle_alpha 90.00
_cell_angle_beta 90.00
_cell_angle_gamma 60.00
loop_
_atom_site_label
_atom_site_type_symbol
_atom_site_fract_x
_atom_site_fract_y
_atom_site_fract_z
Mg1 Mg 0.0000 0.0000 0.0000
Te1 Te 0.3307 0.2960 0.7310
Te2 Te 0.3307 0.2960 0.8285
Te3 Te 0.9973 0.9627 0.1672
Te4 Te 0.9973 0.9627 0.2648
Mo1 Mo 0.3306 0.2960 0.5918
W1 W 0.3306 0.2960 0.2160
W2 W 0.9973 0.9627 0.4041
W3 W 0.9973 0.9627 0.7798
Se1 Se 0.3307 0.2960 0.3613
Se2 Se 0.3307 0.2960 0.4470
S1 S 0.9973 0.9627 0.5530
S2 S 0.9973 0.9627 0.6307
```